1.
Structure and theoretical powder XRD pattern of ReSi2Hg (a PBE-relaxed structure; Cu Ka).

Cell and atoms:
```
ReSi2Hg
1.0
6.424 0.000 0.000
0.000 6.424 0.000
0.000 0.000 6.424
Re Si Hg
4 8 4
Cartesian
0.000 0.000 0.000
0.000 3.212 3.212
3.212 0.000 3.212
3.212 3.212 0.000
0.000 0.000 3.212
0.000 3.212 0.000
1.606 1.606 4.818
1.606 4.818 1.606
3.212 0.000 0.000
3.212 3.212 3.212
4.818 1.606 1.606
4.818 4.818 4.818
1.606 1.606 1.606
1.606 4.818 4.818
4.818 1.606 4.818
4.818 4.818 1.606
```

Peak list (8 most intense, 2θ from 10° to 90°, most intense first)
- 39.68 deg, rel. 100.0
- 23.99 deg, rel. 65.5
- 72.02 deg, rel. 35.3
- 46.91 deg, rel. 34.9
- 57.37 deg, rel. 17.2
- 63.08 deg, rel. 14.6
- 85.51 deg, rel. 11.6
- 77.16 deg, rel. 11.1


2.
Structure and theoretical powder XRD pattern of Fe2Se3 (a PBE-relaxed structure; Cu Ka).

Cell and atoms:
```
Fe2Se3
1.0
3.089 1.784 5.196
-3.089 1.784 5.196
0.000 -3.567 5.196
Fe Se
4 6
Cartesian
0.000 0.000 0.000
0.000 0.000 2.561
0.000 0.000 7.793
0.000 0.000 13.026
-2.031 -0.036 6.535
-0.985 -1.777 9.052
1.046 -1.741 6.535
-1.046 1.741 9.052
0.985 1.777 6.535
2.031 0.036 9.052
```

Peak list (8 most intense, 2θ from 10° to 90°, most intense first)
- 33.75 deg, rel. 100.0
- 45.63 deg, rel. 51.9
- 51.21 deg, rel. 41.0
- 61.37 deg, rel. 17.9
- 62.75 deg, rel. 15.8
- 85.17 deg, rel. 13.5
- 70.99 deg, rel. 12.9
- 17.07 deg, rel. 10.4


3.
Structure and theoretical powder XRD pattern of BaAgHgAs2 (a PBE-relaxed structure; Cu Ka).

Cell and atoms:
```
BaAgHgAs2
1.0
2.227 -9.302 0.000
2.227 9.302 0.000
0.000 0.000 6.555
Ba Ag Hg As
2 2 2 4
Cartesian
2.227 6.052 3.278
2.227 -6.052 0.000
2.227 9.036 1.071
2.227 -9.036 4.349
2.227 2.280 3.147
2.227 -2.280 6.425
2.227 5.612 0.014
2.227 0.416 6.027
2.227 -0.416 2.749
2.227 -5.612 3.291
```

Peak list (8 most intense, 2θ from 10° to 90°, most intense first)
- 34.28 deg, rel. 100.0
- 31.32 deg, rel. 57.9
- 27.21 deg, rel. 48.1
- 24.63 deg, rel. 45.3
- 40.50 deg, rel. 39.0
- 41.95 deg, rel. 37.6
- 28.83 deg, rel. 34.0
- 16.54 deg, rel. 32.7


4.
Structure and theoretical powder XRD pattern of Ni5P4 (a PBE-relaxed structure; Cu Ka).

Cell and atoms:
```
Ni5P4
1.0
6.770 0.000 0.000
-3.385 5.863 0.000
0.000 0.000 10.954
Ni P
20 16
Cartesian
0.000 0.000 0.000
0.000 0.000 5.477
-1.318 3.148 4.265
-1.282 3.169 7.447
0.000 2.428 0.411
-1.282 4.649 0.411
2.103 1.214 5.888
1.282 3.169 7.447
0.000 5.389 7.447
1.317 3.148 4.265
0.000 5.430 4.265
3.385 0.433 9.742
2.068 2.715 9.742
3.385 0.475 1.970
2.104 2.694 1.970
1.282 4.649 0.411
4.667 1.214 5.888
3.385 3.435 5.888
4.667 2.694 1.970
4.703 2.715 9.742
0.000 0.000 3.291
0.000 0.000 8.769
0.000 2.097 2.656
-1.569 4.815 2.656
0.000 2.132 5.826
-1.538 4.797 5.826
0.000 3.909 9.408
1.816 1.049 8.134
1.847 1.066 0.349
1.538 4.797 5.826
1.569 4.815 2.656
3.385 1.954 3.931
4.924 1.066 0.349
3.385 3.731 0.349
4.954 1.049 8.134
3.385 3.766 8.134
```

Peak list (8 most intense, 2θ from 10° to 90°, most intense first)
- 53.17 deg, rel. 100.0
- 45.31 deg, rel. 76.7
- 48.02 deg, rel. 65.9
- 44.09 deg, rel. 61.9
- 47.24 deg, rel. 59.3
- 54.19 deg, rel. 51.6
- 36.20 deg, rel. 48.4
- 30.49 deg, rel. 47.4